NdThCoPd: calculated PXRD pattern (copper Kα), based on DFT lattice parameters and positions (PBE).

Structural model:
```
data_NdThCoPd
_chemical_formula_sum 'Nd2 Th2 Co2 Pd2'
_cell_length_a 4.0362
_cell_length_b 3.8782
_cell_length_c 11.6958
_cell_angle_alpha 90.00
_cell_angle_beta 90.00
_cell_angle_gamma 90.00
_symmetry_space_group_name_H-M 'A m m 2'
_symmetry_Int_Tables_number 38
_symmetry_space_group_name_Hall 'A 2 -2'
loop_
_atom_site_label
_atom_site_type_symbol
_atom_site_fract_x
_atom_site_fract_y
_atom_site_fract_z
Nd1 Nd 0.0000 0.0000 0.0000
Th1 Th 0.5000 0.0000 0.7213
Co1 Co 0.0000 0.0000 0.2499
Pd1 Pd 0.5000 0.0000 0.4268
```

Principal peaks in the range 2θ = 10–90°, by intensity:
32.9°, d = 2.720 Å, I 1000; 39.7°, d = 2.272 Å, I 595; 32.6°, d = 2.749 Å, I 431; 30.6°, d = 2.924 Å, I 415; 26.8°, d = 3.322 Å, I 314; 44.9°, d = 2.018 Å, I 229; 46.9°, d = 1.939 Å, I 203; 56.6°, d = 1.627 Å, I 185; 38.0°, d = 2.368 Å, I 172; 50.9°, d = 1.794 Å, I 169; 55.3°, d = 1.661 Å, I 157; 78.3°, d = 1.222 Å, I 157

Ni3Mo2Pt2: calculated PXRD pattern (copper Kα), based on DFT lattice parameters and positions (PBE).

Structural model:
```
data_Ni3Mo2Pt2
_chemical_formula_sum 'Ni6 Mo4 Pt4'
_cell_length_a 8.6609
_cell_length_b 3.7503
_cell_length_c 5.9883
_cell_angle_alpha 90.00
_cell_angle_beta 98.49
_cell_angle_gamma 90.00
_symmetry_space_group_name_H-M 'C 1 2/m 1'
_symmetry_Int_Tables_number 12
_symmetry_space_group_name_Hall '-C 2y'
loop_
_atom_site_label
_atom_site_type_symbol
_atom_site_fract_x
_atom_site_fract_y
_atom_site_fract_z
Ni1 Ni 0.0000 0.0000 0.0000
Ni2 Ni 0.2081 0.5000 0.1397
Mo1 Mo 0.1497 0.0000 0.4119
Pt1 Pt 0.0735 0.5000 0.7273
```

Principal peaks in the range 2θ = 10–90°, by intensity:
40.8°, d = 2.210 Å, I 1000; 41.4°, d = 2.180 Å, I 954; 47.2°, d = 1.925 Å, I 328; 48.6°, d = 1.875 Å, I 306; 47.8°, d = 1.903 Å, I 301; 25.9°, d = 3.435 Å, I 210; 70.0°, d = 1.343 Å, I 199; 70.5°, d = 1.336 Å, I 184; 83.0°, d = 1.163 Å, I 122; 85.4°, d = 1.137 Å, I 122; 84.2°, d = 1.150 Å, I 121; 85.8°, d = 1.133 Å, I 116

Pr4MgCd2: calculated PXRD pattern (copper Kα), based on DFT lattice parameters and positions (PBE).

Structural model:
```
data_Pr4MgCd2
_chemical_formula_sum 'Pr8 Mg2 Cd4'
_cell_length_a 7.9428
_cell_length_b 6.4790
_cell_length_c 9.1247
_cell_angle_alpha 90.00
_cell_angle_beta 112.41
_cell_angle_gamma 90.00
_symmetry_space_group_name_H-M 'P 1 21/m 1'
_symmetry_Int_Tables_number 11
_symmetry_space_group_name_Hall '-P 2yb'
loop_
_atom_site_label
_atom_site_type_symbol
_atom_site_fract_x
_atom_site_fract_y
_atom_site_fract_z
Pr1 Pr 0.0189 0.2500 0.4132
Pr2 Pr 0.1510 0.7500 0.2904
Pr3 Pr 0.3979 0.0132 0.7717
Mg1 Mg 0.1973 0.2500 0.0827
Cd1 Cd 0.2048 0.7500 0.9695
Cd2 Cd 0.4283 0.2500 0.4456
```

Principal peaks in the range 2θ = 10–90°, by intensity:
30.0°, d = 2.977 Å, I 1000; 34.8°, d = 2.579 Å, I 744; 30.2°, d = 2.964 Å, I 673; 31.9°, d = 2.808 Å, I 668; 35.8°, d = 2.509 Å, I 583; 34.9°, d = 2.569 Å, I 544; 30.4°, d = 2.941 Å, I 458; 37.4°, d = 2.404 Å, I 427; 28.9°, d = 3.086 Å, I 399; 34.2°, d = 2.622 Å, I 392; 32.5°, d = 2.753 Å, I 389; 27.9°, d = 3.194 Å, I 375